[1]
Y3Pu: calculated powder diffraction line list (Cu Kα, 1.54184 Å), based on a DFT-relaxed cell (GGA-PBE, Alexandria).

Principal peaks in the range 10 to 90 degrees two-theta, in order of rising 2θ:
- 2θ = 19.35°, intensity 168
- 2θ = 22.37°, intensity 91
- 2θ = 31.85°, intensity 1000
- 2θ = 37.54°, intensity 104
- 2θ = 45.66°, intensity 184
- 2θ = 50.03°, intensity 48
- 2θ = 51.42°, intensity 45
- 2θ = 56.75°, intensity 385
- 2θ = 66.56°, intensity 119
- 2θ = 75.69°, intensity 164

Structure:
```
data_Y3Pu
_space_group_name_H-M_alt 'F m -3 m'
_space_group_IT_number 225
_space_group_name_Hall '-F 4 2 3'
_cell_length_a 7.947
_cell_length_b 7.947
_cell_length_c 7.947
_cell_angle_alpha 90.00
_cell_angle_beta 90.00
_cell_angle_gamma 90.00
loop_
_atom_site_label
_atom_site_fract_x
_atom_site_fract_y
_atom_site_fract_z
_atom_site_occupancy
Y1 0.000 0.000 0.000 1
Y2 0.250 0.250 0.250 1
Pu1 0.000 0.000 0.500 1
```

=====

[2]
Tc2NiHg: calculated powder diffraction line list (Cu Kα, 1.54184 Å), based on a DFT-relaxed cell (GGA-PBE, Alexandria).

Principal peaks in the range 10 to 90 degrees two-theta, in order of rising 2θ:
- 2θ = 23.51°, intensity 159
- 2θ = 28.21°, intensity 223
- 2θ = 39.30°, intensity 960
- 2θ = 39.92°, intensity 1000
- 2θ = 45.04°, intensity 650
- 2θ = 48.08°, intensity 292
- 2θ = 51.42°, intensity 132
- 2θ = 67.99°, intensity 374
- 2θ = 78.82°, intensity 192
- 2θ = 80.02°, intensity 237

Structure:
```
data_Tc2NiHg
_space_group_name_H-M_alt 'P m m 2'
_space_group_IT_number 25
_space_group_name_Hall 'P 2 -2'
_cell_length_a 2.814
_cell_length_b 3.785
_cell_length_c 5.761
_cell_angle_alpha 90.00
_cell_angle_beta 90.00
_cell_angle_gamma 90.00
loop_
_atom_site_label
_atom_site_fract_x
_atom_site_fract_y
_atom_site_fract_z
_atom_site_occupancy
Tc1 0.000 0.000 0.000 1
Tc2 0.500 0.500 0.200 1
Ni1 0.500 0.500 0.759 1
Hg1 0.000 0.000 0.508 1
```

=====

[3]
SrCa3F8: calculated powder diffraction line list (Cu Kα, 1.54184 Å), based on a DFT-relaxed cell (GGA-PBE, Alexandria).

Principal peaks in the range 10 to 90 degrees two-theta, in order of rising 2θ:
- 2θ = 15.82°, intensity 83
- 2θ = 22.45°, intensity 106
- 2θ = 27.58°, intensity 997
- 2θ = 35.85°, intensity 85
- 2θ = 39.41°, intensity 52
- 2θ = 45.82°, intensity 1000
- 2θ = 54.32°, intensity 406
- 2θ = 66.81°, intensity 135
- 2θ = 73.74°, intensity 155
- 2θ = 84.80°, intensity 254

Structure:
```
data_SrCa3F8
_space_group_name_H-M_alt 'P m -3 m'
_space_group_IT_number 221
_space_group_name_Hall '-P 4 2 3'
_cell_length_a 5.601
_cell_length_b 5.601
_cell_length_c 5.601
_cell_angle_alpha 90.00
_cell_angle_beta 90.00
_cell_angle_gamma 90.00
loop_
_atom_site_label
_atom_site_fract_x
_atom_site_fract_y
_atom_site_fract_z
_atom_site_occupancy
Sr1 0.000 0.000 0.000 1
Ca1 0.000 0.500 0.500 1
F1 0.256 0.256 0.256 1
```

=====

[4]
Ce5AlRu3: calculated powder diffraction line list (Cu Kα, 1.54184 Å), based on a DFT-relaxed cell (GGA-PBE, Alexandria).

Principal peaks in the range 10 to 90 degrees two-theta, in order of rising 2θ:
- 2θ = 19.98°, intensity 450
- 2θ = 20.33°, intensity 633
- 2θ = 29.59°, intensity 1000
- 2θ = 31.87°, intensity 414
- 2θ = 32.35°, intensity 488
- 2θ = 38.71°, intensity 521
- 2θ = 38.99°, intensity 385
- 2θ = 44.05°, intensity 394
- 2θ = 48.73°, intensity 463
- 2θ = 49.52°, intensity 387

Structure:
```
data_Ce5AlRu3
_space_group_name_H-M_alt 'C 1 2/m 1'
_space_group_IT_number 12
_space_group_name_Hall '-C 2y'
_cell_length_a 12.156
_cell_length_b 8.897
_cell_length_c 9.559
_cell_angle_alpha 90.00
_cell_angle_beta 111.96
_cell_angle_gamma 90.00
loop_
_atom_site_label
_atom_site_fract_x
_atom_site_fract_y
_atom_site_fract_z
_atom_site_occupancy
Ce1 0.000 0.210 0.000 1
Ce2 0.037 0.000 0.344 1
Ce3 0.174 0.307 0.639 1
Ce4 0.231 0.500 0.051 1
Al1 0.080 0.500 0.291 1
Ru1 0.000 0.500 0.000 1
Ru2 0.000 0.500 0.500 1
Ru3 0.167 0.000 0.160 1
Ru4 0.184 0.000 0.604 1
```

=====

[5]
RbCeHg2I8: calculated powder diffraction line list (Cu Kα, 1.54184 Å), based on a DFT-relaxed cell (GGA-PBE, Alexandria).

Principal peaks in the range 10 to 90 degrees two-theta, in order of rising 2θ:
- 2θ = 11.49°, intensity 1000
- 2θ = 17.28°, intensity 426
- 2θ = 20.61°, intensity 283
- 2θ = 23.30°, intensity 465
- 2θ = 24.41°, intensity 286
- 2θ = 26.77°, intensity 293
- 2θ = 34.36°, intensity 408
- 2θ = 35.30°, intensity 338
- 2θ = 39.40°, intensity 375
- 2θ = 39.86°, intensity 310

Structure:
```
data_RbCeHg2I8
_space_group_name_H-M_alt 'P -1'
_space_group_IT_number 2
_space_group_name_Hall '-P 1'
_cell_length_a 7.830
_cell_length_b 8.403
_cell_length_c 10.493
_cell_angle_alpha 66.50
_cell_angle_beta 82.64
_cell_angle_gamma 84.69
loop_
_atom_site_label
_atom_site_fract_x
_atom_site_fract_y
_atom_site_fract_z
_atom_site_occupancy
Rb1 0.000 0.000 0.000 1
Ce1 0.000 0.500 0.500 1
Hg1 0.467 0.531 0.803 1
I1 0.109 0.477 0.793 1
I2 0.153 0.854 0.343 1
I3 0.347 0.288 0.451 1
I4 0.438 0.767 0.962 1
```

=====

[6]
RbCrAsCl6: calculated powder diffraction line list (Cu Kα, 1.54184 Å), based on a DFT-relaxed cell (GGA-PBE, Alexandria).

Principal peaks in the range 10 to 90 degrees two-theta, in order of rising 2θ:
- 2θ = 12.24°, intensity 659
- 2θ = 18.98°, intensity 823
- 2θ = 19.85°, intensity 884
- 2θ = 19.97°, intensity 681
- 2θ = 29.27°, intensity 258
- 2θ = 29.95°, intensity 284
- 2θ = 34.99°, intensity 471
- 2θ = 36.20°, intensity 260
- 2θ = 37.31°, intensity 1000
- 2θ = 46.41°, intensity 411

Structure:
```
data_RbCrAsCl6
_space_group_name_H-M_alt 'P 1'
_space_group_IT_number 1
_space_group_name_Hall 'P 1'
_cell_length_a 6.644
_cell_length_b 6.650
_cell_length_c 7.242
_cell_angle_alpha 91.74
_cell_angle_beta 91.83
_cell_angle_gamma 117.84
loop_
_atom_site_label
_atom_site_fract_x
_atom_site_fract_y
_atom_site_fract_z
_atom_site_occupancy
Rb1 0.000 0.000 0.000 1
Cr1 0.320 0.679 0.500 1
As1 0.659 0.340 0.499 1
Cl1 0.353 0.415 0.292 1
Cl2 0.355 0.011 0.674 1
Cl3 0.585 0.646 0.707 1
Cl4 0.633 0.051 0.289 1
Cl5 0.950 0.365 0.709 1
Cl6 0.988 0.644 0.326 1
```